Simulated powder XRD pattern
Compound: YZnGa2Pd2
Radiation: λ = 1.5418 Å (Cu Kα)
Structure: a cell relaxed with PBE

Top 10 peaks for 2θ = 10–90°, by angle:
(0 0 1), d = 6.595 Å, 13.43°, intensity 19.4
(0 1 1), d = 3.264 Å, 27.33°, intensity 16.0
(1 0 2), d = 2.478 Å, 36.25°, intensity 100.0
(1 1 0), d = 2.168 Å, 41.65°, intensity 90.5
(1 0 3), d = 1.897 Å, 47.95°, intensity 12.7
(0 2 2), d = 1.632 Å, 56.38°, intensity 27.0
(1 1 3), d = 1.544 Å, 59.92°, intensity 15.9
(2 1 2), d = 1.304 Å, 72.49°, intensity 24.7
(3 0 0), d = 1.252 Å, 76.02°, intensity 14.5
(1 0 5), d = 1.244 Å, 76.56°, intensity 9.6

Structure:
```
data_YZnGa2Pd2
_symmetry_space_group_name_H-M 'P -3 m 1'
_symmetry_Int_Tables_number 164
_symmetry_space_group_name_Hall '-P 3 2"'
_cell_length_a 4.3369
_cell_length_b 4.3369
_cell_length_c 6.5946
_cell_angle_alpha 90.00
_cell_angle_beta 90.00
_cell_angle_gamma 120.00
loop_
_atom_site_label
_atom_site_type_symbol
_atom_site_fract_x
_atom_site_fract_y
_atom_site_fract_z
_atom_site_occupancy
Y1 Y 0.0000 0.0000 0.0000 1
Zn1 Zn 0.0000 0.0000 0.5000 1
Ga1 Ga 0.3333 0.6667 0.7379 1
Pd1 Pd 0.3333 0.6667 0.3363 1
```



Simulated powder XRD pattern
Compound: Sm4Ni13C4
Radiation: λ = 1.5418 Å (Cu Kα)
Structure: a cell relaxed with PBE

Top 10 peaks for 2θ = 10–90°, by angle:
(1 3 1), d = 2.726 Å, 32.85°, intensity 69.8
(3 1 1), d = 2.705 Å, 33.12°, intensity 37.5
(4 2 0), d = 2.655 Å, 33.76°, intensity 27.9
(0 4 1), d = 2.386 Å, 37.69°, intensity 51.0
(2 4 1), d = 2.213 Å, 40.77°, intensity 20.1
(4 2 1), d = 2.196 Å, 41.10°, intensity 100.0
(3 5 0), d = 2.057 Å, 44.03°, intensity 39.4
(5 3 0), d = 2.039 Å, 44.44°, intensity 23.6
(0 0 2), d = 1.954 Å, 46.47°, intensity 47.1
(3 5 2), d = 1.417 Å, 65.94°, intensity 22.9

Structure:
```
data_Sm4Ni13C4
_symmetry_space_group_name_H-M 'C m m m'
_symmetry_Int_Tables_number 65
_symmetry_space_group_name_Hall '-C 2 2'
_cell_length_a 11.830
_cell_length_b 12.053
_cell_length_c 3.908
_cell_angle_alpha 90.00
_cell_angle_beta 90.00
_cell_angle_gamma 90.00
loop_
_atom_site_label
_atom_site_type_symbol
_atom_site_fract_x
_atom_site_fract_y
_atom_site_fract_z
_atom_site_occupancy
Sm1 Sm 0.000 0.190 0.000 1
Sm2 Sm 0.153 0.500 0.000 1
Ni1 Ni 0.000 0.000 0.500 1
Ni2 Ni 0.108 0.324 0.500 1
Ni3 Ni 0.122 0.000 0.000 1
Ni4 Ni 0.181 0.109 0.500 1
Ni5 Ni 0.250 0.250 0.000 1
C1 C 0.000 0.443 0.500 1
C2 C 0.250 0.250 0.500 1
```



Simulated powder XRD pattern
Compound: Rb2Ag12Se7
Radiation: λ = 1.5418 Å (Cu Kα)
Structure: a cell relaxed with PBE

Top 10 peaks for 2θ = 10–90°, by angle:
(1 1 0), d = 5.495 Å, 16.13°, intensity 13.0
(1 2 1), d = 2.837 Å, 31.54°, intensity 100.0
(0 3 1), d = 2.614 Å, 34.31°, intensity 25.6
(0 0 2), d = 2.306 Å, 39.06°, intensity 22.0
(4 -3 1), d = 2.291 Å, 39.32°, intensity 15.3
(2 3 0), d = 2.184 Å, 41.35°, intensity 16.9
(4 0 1), d = 2.115 Å, 42.76°, intensity 17.9
(4 1 0), d = 2.077 Å, 43.58°, intensity 19.3
(3 2 1), d = 1.974 Å, 45.99°, intensity 15.1
(8 -6 1), d = 1.269 Å, 74.82°, intensity 12.8

Structure:
```
data_Rb2Ag12Se7
_symmetry_space_group_name_H-M 'P -3'
_symmetry_Int_Tables_number 147
_cell_length_a 10.9906
_cell_length_b 10.9906
_cell_length_c 4.6125
_cell_angle_alpha 90.00
_cell_angle_beta 90.00
_cell_angle_gamma 120.00
loop_
_symmetry_equiv_pos_as_xyz
'x,y,z'
'-x,-y,-z'
'-y,x-y,z'
'y,-x+y,-z'
'-x+y,-x,z'
'x-y,x,-z'
loop_
_atom_site_label
_atom_site_type_symbol
_atom_site_fract_x
_atom_site_fract_y
_atom_site_fract_z
_atom_site_occupancy
Rb1 Rb 0.3333 0.6667 0.2459 1
Ag1 Ag 0.0592 0.6614 0.7932 1
Ag2 Ag 0.1010 0.8552 0.3022 1
Se1 Se 0.0000 0.0000 0.0000 1
Se2 Se 0.1041 0.4218 0.7243 1
```



Simulated powder XRD pattern
Compound: Y5AsSe4
Radiation: λ = 1.5418 Å (Cu Kα)
Structure: a cell relaxed with PBE

Top 10 peaks for 2θ = 10–90°, by angle:
(1 0 5), d = 2.899 Å, 30.84°, intensity 100.0
(0 2 0), d = 2.886 Å, 30.98°, intensity 49.5
(2 0 0), d = 2.050 Å, 44.18°, intensity 36.2
(1 2 5), d = 2.046 Å, 44.28°, intensity 72.1
(2 2 0), d = 1.671 Å, 54.93°, intensity 37.5
(2 0 10), d = 1.450 Å, 64.25°, intensity 11.5
(3 0 5), d = 1.296 Å, 73.00°, intensity 31.3
(1 4 5), d = 1.292 Å, 73.27°, intensity 15.6
(3 2 5), d = 1.183 Å, 81.36°, intensity 23.4
(2 4 0), d = 1.180 Å, 81.58°, intensity 11.7

Structure:
```
data_Y5AsSe4
_symmetry_space_group_name_H-M 'I m m m'
_symmetry_Int_Tables_number 71
_symmetry_space_group_name_Hall '-I 2 2'
_cell_length_a 4.099
_cell_length_b 5.773
_cell_length_c 20.507
_cell_angle_alpha 90.00
_cell_angle_beta 90.00
_cell_angle_gamma 90.00
loop_
_atom_site_label
_atom_site_type_symbol
_atom_site_fract_x
_atom_site_fract_y
_atom_site_fract_z
_atom_site_occupancy
Y1 Y 0.000 0.000 0.000 1
Y2 Y 0.000 0.000 0.201 1
Y3 Y 0.000 0.000 0.403 1
As1 As 0.000 0.500 0.000 1
Se1 Se 0.000 0.500 0.199 1
Se2 Se 0.000 0.500 0.399 1
```